Diffraction record for Nd7SmY2. The powder diffraction line list is simulated, not measured: it uses a cell relaxed with PBE and Cu Kα, 1.54184 Å.
Peak positions follow from Bragg's law for the DFT cell and can differ from measured ones.

Largest 10 diffraction maxima, by angle, 15° ≤ 2θ ≤ 90°:
d = 2.984 Å, I 100.0
d = 2.584 Å, I 50.5
d = 1.828 Å, I 24.1
d = 1.825 Å, I 12.0
d = 1.559 Å, I 28.6
d = 1.557 Å, I 14.2
d = 1.493 Å, I 9.3
d = 1.187 Å, I 7.3
d = 1.184 Å, I 5.8
d = 1.155 Å, I 6.7

Structural model:
abc: 6.3209 6.3336 9.6728
angles: 102.61 108.97 99.68
Space group P-1 (No. 2)
Asymmetric unit:
Nd (0.0000, 0.0000, 0.0000) [1 per cell]
Nd (0.1998, 0.1007, 0.7010) [2 per cell]
Nd (0.1996, 0.5982, 0.1994) [2 per cell]
Nd (0.4013, 0.1999, 0.3993) [2 per cell]
Sm (0.0000, 0.5000, 0.5000) [1 per cell]
Y (0.4008, 0.7007, 0.9013) [2 per cell]